Calculated X-ray diffraction stick pattern of UTiRhO6 for Cu Kα (λ = 1.5418 Å), from a crystal structure in Alexandria, relaxed with PBE.

Crystal structure
Unit cell a=5.3592 b=5.3592 c=8.6859 alpha=90.00 beta=90.00 gamma=120.00
Positions (direct):
U1 0.3333 0.6667 0.2500
U2 0.6667 0.3333 0.7500
Ti1 0.3333 0.6667 0.7500
Ti2 0.6667 0.3333 0.2500
Rh1 0.0000 0.0000 0.0000
Rh2 0.0000 0.0000 0.5000
O1 0.0170 0.3484 0.6297
O2 0.0170 0.6687 0.8703
O3 0.3313 0.3484 0.8703
O4 0.3313 0.9830 0.6297
O5 0.3484 0.0170 0.1297
O6 0.3484 0.3313 0.3703
O7 0.6516 0.6687 0.6297
O8 0.6516 0.9830 0.8703
O9 0.6687 0.0170 0.3703
O10 0.6687 0.6516 0.1297
O11 0.9830 0.3313 0.1297
O12 0.9830 0.6516 0.3703

Most intense lines, 15 to 90 degrees two-theta, sorted by position:
Position (°2θ)  intensity
20.45  18
21.71  68
28.14  100
33.44  59
36.58  21
39.52  24
44.25  29
54.38  48
56.58  35
59.78  21